Theoretical X-ray diffraction stick pattern of HoMnIn4O8 for Cu Kα X-rays, from DFT lattice parameters and positions (PBE+U).
Intensities are scaled so that the largest is 100.

Structural model:
```
HoMnIn4O8
1.0
3.289 1.899 5.445
-3.289 1.899 5.445
0.000 -3.798 5.445
Ho Mn In O
1 1 4 8
Direct
0.000 0.000 0.000
0.375 0.375 0.375
0.495 0.999 0.999
0.624 0.624 0.624
0.999 0.495 0.999
0.999 0.999 0.495
0.219 0.755 0.755
0.238 0.238 0.238
0.242 0.242 0.773
0.242 0.773 0.242
0.755 0.219 0.755
0.755 0.755 0.219
0.760 0.760 0.760
0.773 0.242 0.242
```

Most intense lines, 2θ = 10–80°, most intense first:
| 2θ/deg | d [Å] | intensity |
| --- | --- | --- |
| 31.79 | 2.815 | 100.0 |
| 31.57 | 2.834 | 52.0 |
| 16.48 | 5.379 | 45.3 |
| 33.31 | 2.690 | 41.3 |
| 38.54 | 2.336 | 40.5 |
| 55.36 | 1.660 | 39.3 |